Record 1
Starting from a cell relaxed with GGA-PBE, the X-ray powder pattern of DyHoZn2In2 was calculated for Cu Kα (weighted mean of Kα1 and Kα2).
Neutral-atom scattering factors, no anomalous dispersion.

Top 12 peaks for 15° ≤ 2θ ≤ 90°, by angle:
| d_spacing | 2θ (°) | I (rel.) | (hkl) |
| --- | --- | --- | --- |
| 4.030 | 22.05 | 10 | 1 0 0 |
| 3.524 | 25.27 | 10 | 0 1 1 |
| 2.698 | 33.21 | 100 | 0 1 2 |
| 2.327 | 38.70 | 67 | 1 1 0 |
| 2.076 | 43.61 | 10 | 1 0 3 |
| 1.816 | 50.24 | 6 | 0 0 4 |
| 1.762 | 51.89 | 28 | 2 0 2 |
| 1.432 | 65.16 | 17 | 1 1 4 |
| 1.405 | 66.57 | 26 | 1 2 2 |
| 1.367 | 68.68 | 5 | 0 1 5 |
| 1.343 | 70.04 | 11 | 3 0 0 |
| 1.163 | 83.00 | 7 | 2 2 0 |

Atomic structure:
Cell lengths 4.6538, 4.6538, 7.2637 Å; angles 90.00, 90.00, 120.00 degrees
Space group P3m1 (No. 156)
One atom of each set of equivalent atoms:
Dy1 0.0000 0.0000 0.0000
Ho1 0.0000 0.0000 0.5002
Zn1 0.3333 0.6667 0.1956
Zn2 0.6667 0.3333 0.6949
In1 0.3333 0.6667 0.7746
In2 0.6667 0.3333 0.2756


Record 2
Starting from a cell relaxed with GGA-PBE, the X-ray powder pattern of Si12Ni31 was calculated for Cu Kα (weighted mean of Kα1 and Kα2).
Neutral-atom scattering factors, no anomalous dispersion.

Top 12 peaks for 15° ≤ 2θ ≤ 90°, by angle:
| d_spacing | 2θ (°) | I (rel.) | (hkl) |
| --- | --- | --- | --- |
| 2.924 | 30.57 | 8 | 1 1 2 |
| 2.608 | 34.39 | 9 | 2 0 2 |
| 2.581 | 34.76 | 9 | 1 1 3 |
| 2.144 | 42.15 | 28 | 1 2 1 |
| 2.100 | 43.07 | 25 | 0 2 4 |
| 2.052 | 44.13 | 9 | 1 2 2 |
| 1.975 | 45.94 | 100 | 1 1 5 |
| 1.921 | 47.33 | 93 | 3 0 0 |
| 1.776 | 51.45 | 13 | 2 1 4 |
| 1.377 | 68.09 | 13 | 2 2 5 |
| 1.214 | 78.85 | 11 | 3 2 4 |
| 1.119 | 87.09 | 11 | 4 1 5 |

Atomic structure:
Cell lengths 6.6525, 6.6525, 12.2768 Å; angles 90.00, 90.00, 120.00 degrees
Space group P321 (No. 150)
One atom of each set of equivalent atoms:
Si1 0.0000 0.0000 0.2093
Si2 0.0000 0.3505 0.0000
Si3 0.0000 0.6811 0.5000
Si4 0.3333 0.6667 0.2728
Si5 0.3333 0.6667 0.7755
Ni1 0.0000 0.0000 0.0000
Ni2 0.0000 0.0000 0.4030
Ni3 0.0353 0.3568 0.1945
Ni4 0.0375 0.7023 0.6979
Ni5 0.0624 0.6911 0.9037
Ni6 0.0786 0.4117 0.4045
Ni7 0.3333 0.6667 0.0668
Ni8 0.3333 0.6667 0.5722


Record 3
Starting from a cell relaxed with GGA-PBE, the X-ray powder pattern of YScGe2Au2 was calculated for Cu Kα (weighted mean of Kα1 and Kα2).
Neutral-atom scattering factors, no anomalous dispersion.

Top 12 peaks for 15° ≤ 2θ ≤ 90°, by angle:
| d_spacing | 2θ (°) | I (rel.) | (hkl) |
| --- | --- | --- | --- |
| 3.703 | 24.03 | 83 | 0 1 2 |
| 2.268 | 39.75 | 100 | 0 2 0 |
| 1.934 | 46.97 | 31 | 2 2 1 |
| 1.932 | 47.03 | 11 | 2 2 -3 |
| 1.603 | 57.47 | 17 | 4 2 -2 |
| 1.473 | 63.11 | 6 | 6 0 -5 |
| 1.471 | 63.24 | 11 | 0 3 2 |
| 1.311 | 72.02 | 8 | 6 1 1 |
| 1.309 | 72.19 | 25 | 2 3 -5 |
| 1.234 | 77.32 | 10 | 4 3 -4 |
| 1.135 | 85.58 | 5 | 8 0 -4 |
| 1.133 | 85.77 | 5 | 0 4 0 |

Atomic structure:
Cell lengths 9.082, 4.531, 13.594 Å; angles 90.00, 109.38, 90.00 degrees
Space group Pm (No. 6)
One atom of each set of equivalent atoms:
Y1 0.000 0.000 0.000
Y2 0.123 0.500 0.744
Y3 0.250 0.000 0.495
Y4 0.505 0.000 0.999
Sc1 0.378 0.500 0.250
Sc2 0.629 0.500 0.747
Sc3 0.750 0.000 0.496
Sc4 0.877 0.500 0.250
Ge1 0.128 0.000 0.251
Ge2 0.254 0.500 0.003
Ge3 0.379 0.000 0.747
Ge4 0.502 0.500 0.494
Ge5 0.628 0.000 0.250
Ge6 0.752 0.500 0.998
Ge7 0.871 0.000 0.743
Ge8 0.996 0.500 0.495
Au1 0.069 0.500 0.133
Au2 0.189 0.000 0.873
Au3 0.326 0.500 0.626
Au4 0.445 0.000 0.369
Au5 0.569 0.500 0.132
Au6 0.686 0.000 0.864
Au7 0.803 0.500 0.616
Au8 0.929 0.000 0.370


Record 4
Starting from a cell relaxed with GGA-PBE, the X-ray powder pattern of Co3Re3Ni2 was calculated for Cu Kα (weighted mean of Kα1 and Kα2).
Neutral-atom scattering factors, no anomalous dispersion.

Top 12 peaks for 15° ≤ 2θ ≤ 90°, by angle:
| d_spacing | 2θ (°) | I (rel.) | (hkl) |
| --- | --- | --- | --- |
| 4.521 | 19.64 | 28 | 0 0 2 |
| 3.063 | 29.15 | 18 | 1 0 2 |
| 2.262 | 39.85 | 26 | 0 2 2 |
| 2.214 | 40.75 | 13 | 1 2 0 |
| 2.082 | 43.46 | 26 | 2 0 0 |
| 1.988 | 45.64 | 100 | 1 0 4 |
| 1.532 | 60.42 | 15 | 2 2 2 |
| 1.305 | 72.40 | 11 | 0 2 6 |
| 1.183 | 81.32 | 18 | 3 0 4 |
| 1.107 | 88.26 | 7 | 2 4 0 |
| 1.106 | 88.38 | 13 | 2 2 6 |
| 1.092 | 89.81 | 10 | 1 4 4 |

Atomic structure:
Cell lengths 4.165, 5.229, 9.039 Å; angles 90.00, 90.00, 90.00 degrees
Space group Amm2 (No. 38)
One atom of each set of equivalent atoms:
Co1 0.000 0.000 0.000
Co2 0.500 0.248 0.080
Re1 0.000 0.247 0.745
Re2 0.500 0.000 0.340
Ni1 0.000 0.000 0.505
Ni2 0.500 0.000 0.839


Record 5
Starting from a cell relaxed with GGA-PBE, the X-ray powder pattern of Li8Tm4O11 was calculated for Cu Kα (weighted mean of Kα1 and Kα2).
Neutral-atom scattering factors, no anomalous dispersion.

Top 12 peaks for 15° ≤ 2θ ≤ 90°, by angle:
| d_spacing | 2θ (°) | I (rel.) | (hkl) |
| --- | --- | --- | --- |
| 4.776 | 18.58 | 100 | 1 0 1 |
| 4.612 | 19.25 | 17 | 0 0 2 |
| 4.541 | 19.55 | 12 | 0 1 -1 |
| 4.041 | 22.00 | 19 | 1 1 0 |
| 3.355 | 26.57 | 14 | 1 -1 0 |
| 2.774 | 32.28 | 19 | 1 1 -2 |
| 2.734 | 32.76 | 18 | 0 1 3 |
| 2.690 | 33.31 | 17 | 0 2 0 |
| 2.233 | 40.39 | 16 | 2 1 -1 |
| 2.201 | 41.00 | 19 | 1 1 4 |
| 2.163 | 41.76 | 14 | 1 -2 1 |
| 1.995 | 45.46 | 12 | 1 -1 4 |

Atomic structure:
Cell lengths 5.166, 5.497, 9.449 Å; angles 84.63, 77.84, 78.57 degrees
Space group P1 (No. 1)
One atom of each set of equivalent atoms:
Li1 0.000 0.000 0.000
Li2 0.005 0.210 0.477
Li3 0.315 0.782 0.225
Li4 0.381 0.540 0.515
Li5 0.493 0.251 0.047
Li6 0.575 0.794 0.951
Li7 0.734 0.249 0.740
Li8 0.857 0.737 0.631
Tm1 0.162 0.504 0.845
Tm2 0.315 0.003 0.681
Tm3 0.610 0.075 0.343
Tm4 0.882 0.514 0.175
O1 0.045 0.136 0.268
O2 0.082 0.379 0.638
O3 0.239 0.632 0.047
O4 0.273 0.902 0.464
O5 0.388 0.130 0.880
O6 0.496 0.455 0.313
O7 0.514 0.614 0.699
O8 0.664 0.892 0.141
O9 0.692 0.079 0.557
O10 0.820 0.378 0.990
O11 0.944 0.877 0.806


Record 6
Starting from a cell relaxed with GGA-PBE, the X-ray powder pattern of LaNdZn4 was calculated for Cu Kα (weighted mean of Kα1 and Kα2).
Neutral-atom scattering factors, no anomalous dispersion.

Top 12 peaks for 15° ≤ 2θ ≤ 90°, by angle:
| d_spacing | 2θ (°) | I (rel.) | (hkl) |
| --- | --- | --- | --- |
| 3.956 | 22.47 | 15 | 1 0 1 |
| 2.737 | 32.72 | 27 | 1 1 2 |
| 2.710 | 33.06 | 100 | 1 2 1 |
| 2.663 | 33.66 | 42 | 0 2 2 |
| 2.358 | 38.17 | 16 | 0 3 1 |
| 2.314 | 38.93 | 34 | 2 0 0 |
| 2.229 | 40.47 | 50 | 1 0 3 |
| 1.746 | 52.39 | 24 | 2 2 2 |
| 1.683 | 54.53 | 9 | 1 4 1 |
| 1.651 | 55.66 | 10 | 2 3 1 |
| 1.437 | 64.89 | 16 | 1 3 4 |
| 1.400 | 66.80 | 13 | 3 2 1 |

Atomic structure:
Cell lengths 4.627, 7.438, 7.629 Å; angles 90.00, 90.00, 90.00 degrees
Space group Imm2 (No. 44)
One atom of each set of equivalent atoms:
La1 0.000 0.000 0.000
Nd1 0.000 0.500 0.932
Zn1 0.000 0.197 0.630
Zn2 0.000 0.303 0.300